# 1
Structure and computed X-ray powder pattern of RbSrCl3 (a PBE-relaxed structure; a wavelength of 1.5418 Å).
Neutral-atom scattering factors, no anomalous dispersion.

Largest 10 diffraction maxima, by angle, 15 to 90 degrees two-theta:
2θ/deg, I/Imax
22.28, 100
22.72, 94
27.56, 25
31.06, 60
32.35, 73
38.83, 46
39.63, 89
45.46, 54
52.27, 32
62.05, 38

Structure:
```
data_RbSrCl3
_chemical_formula_sum 'Rb2 Sr2 Cl6'
_space_group_name_H-M_alt 'P 1'
_space_group_IT_number 1
_cell_length_a 7.8276
_cell_length_b 7.8276
_cell_length_c 5.7591
_cell_angle_alpha 90.00
_cell_angle_beta 90.00
_cell_angle_gamma 90.00
loop_
_space_group_symop_operation_xyz
'x,y,z'
loop_
_atom_site_label
_atom_site_fract_x
_atom_site_fract_y
_atom_site_fract_z
_atom_site_occupancy
Rb1 0.0000 0.5000 0.0000 1
Rb2 0.5000 0.0000 0.0000 1
Sr1 0.0000 0.0000 0.5000 1
Sr2 0.5000 0.5000 0.5000 1
Cl1 0.0000 0.0000 0.0000 1
Cl2 0.1737 0.3263 0.5000 1
Cl3 0.3263 0.8263 0.5000 1
Cl4 0.5000 0.5000 0.0000 1
Cl5 0.6737 0.1737 0.5000 1
Cl6 0.8263 0.6737 0.5000 1
```

---

# 2
Structure and computed X-ray powder pattern of Na2U2O7 (a PBE-relaxed structure; a wavelength of 1.5418 Å).
Neutral-atom scattering factors, no anomalous dispersion.

Largest 10 diffraction maxima, by angle, 15 to 90 degrees two-theta:
2θ/deg, I/Imax
26.27, 82
27.63, 100
29.34, 28
32.48, 29
35.85, 15
45.51, 37
47.83, 17
48.08, 21
54.07, 16
55.15, 19

Structure:
```
data_Na2U2O7
_chemical_formula_sum 'Na2 U2 O7'
_space_group_name_H-M_alt 'P 1'
_space_group_IT_number 1
_cell_length_a 6.4976
_cell_length_b 3.9834
_cell_length_c 6.9084
_cell_angle_alpha 90.00
_cell_angle_beta 110.45
_cell_angle_gamma 90.00
loop_
_space_group_symop_operation_xyz
'x,y,z'
loop_
_atom_site_label
_atom_site_fract_x
_atom_site_fract_y
_atom_site_fract_z
_atom_site_occupancy
Na1 0.0000 0.0000 0.0000 1
Na2 0.0079 0.5000 0.4976 1
U1 0.4854 0.0000 0.5060 1
U2 0.4977 0.5000 0.9809 1
O1 0.1727 0.0000 0.4028 1
O2 0.1910 0.5000 0.8794 1
O3 0.4584 0.5000 0.6085 1
O4 0.4619 0.0000 0.1807 1
O5 0.5418 0.0000 0.8485 1
O6 0.7961 0.0000 0.5850 1
O7 0.8028 0.5000 0.1103 1
```

---

Number 2 is which compound? Na2U2O7

---

Please write out number 2 again, unchanged.
Structure and computed X-ray powder pattern of Na2U2O7 (a PBE-relaxed structure; a wavelength of 1.5418 Å).
Neutral-atom scattering factors, no anomalous dispersion.

Largest 10 diffraction maxima, by angle, 15 to 90 degrees two-theta:
2θ/deg, I/Imax
26.27, 82
27.63, 100
29.34, 28
32.48, 29
35.85, 15
45.51, 37
47.83, 17
48.08, 21
54.07, 16
55.15, 19

Structure:
```
data_Na2U2O7
_chemical_formula_sum 'Na2 U2 O7'
_space_group_name_H-M_alt 'P 1'
_space_group_IT_number 1
_cell_length_a 6.4976
_cell_length_b 3.9834
_cell_length_c 6.9084
_cell_angle_alpha 90.00
_cell_angle_beta 110.45
_cell_angle_gamma 90.00
loop_
_space_group_symop_operation_xyz
'x,y,z'
loop_
_atom_site_label
_atom_site_fract_x
_atom_site_fract_y
_atom_site_fract_z
_atom_site_occupancy
Na1 0.0000 0.0000 0.0000 1
Na2 0.0079 0.5000 0.4976 1
U1 0.4854 0.0000 0.5060 1
U2 0.4977 0.5000 0.9809 1
O1 0.1727 0.0000 0.4028 1
O2 0.1910 0.5000 0.8794 1
O3 0.4584 0.5000 0.6085 1
O4 0.4619 0.0000 0.1807 1
O5 0.5418 0.0000 0.8485 1
O6 0.7961 0.0000 0.5850 1
O7 0.8028 0.5000 0.1103 1
```